(1)
The following is a calculated XRD peak list of Sr3Ce3MgSe8. It was derived from DFT lattice parameters and positions (PBE), using Cu Kα X-rays.

Crystal structure
```
data_Sr3Ce3MgSe8
_symmetry_space_group_name_H-M 'R -3 m'
_symmetry_Int_Tables_number 166
_symmetry_space_group_name_Hall '-R 3 2"'
_cell_length_a 8.5137
_cell_length_b 8.5137
_cell_length_c 21.5815
_cell_angle_alpha 90.00
_cell_angle_beta 90.00
_cell_angle_gamma 120.00
loop_
_atom_site_label
_atom_site_fract_x
_atom_site_fract_y
_atom_site_fract_z
Sr1 0.0000 0.5000 0.0000
Ce1 0.0000 0.5000 0.5000
Mg1 0.0000 0.0000 0.5000
Se1 0.0000 0.0000 0.2470
Se2 0.0141 0.5070 0.2414
```

Top 6 peaks for 10° ≤ 2θ ≤ 90°, in order of falling intensity:
Position (°2θ)  d_spacing  intensity  hkl
29.34  3.044  100  0 2 4
41.48  2.177  37  2 0 8
42.47  2.128  36  2 2 0
52.46  1.744  19  4 0 4
69.70  1.349  17  2 4 4
68.28  1.374  15  2 2 12


(2)
The following is a calculated XRD peak list of CeMg2Tl3Se6. It was derived from DFT lattice parameters and positions (PBE), using Cu Kα X-rays.

Crystal structure
```
data_CeMg2Tl3Se6
_symmetry_space_group_name_H-M 'C 1 2/m 1'
_symmetry_Int_Tables_number 12
_cell_length_a 7.1344
_cell_length_b 12.3535
_cell_length_c 7.8067
_cell_angle_alpha 90.00
_cell_angle_beta 107.83
_cell_angle_gamma 90.00
loop_
_symmetry_equiv_pos_as_xyz
'x,y,z'
'-x,-y,-z'
'-x,y,-z'
'x,-y,z'
'x+1/2,y+1/2,z'
'-x+1/2,-y+1/2,-z'
'-x+1/2,y+1/2,-z'
'x+1/2,-y+1/2,z'
loop_
_atom_site_label
_atom_site_fract_x
_atom_site_fract_y
_atom_site_fract_z
Ce1 0.0000 0.0000 0.0000
Mg1 0.0000 0.3330 0.0000
Tl1 0.0000 0.1649 0.5000
Tl2 0.0000 0.5000 0.5000
Se1 0.2253 0.5000 0.2036
Se2 0.2394 0.1710 0.2052
```

Top 6 peaks for 10° ≤ 2θ ≤ 90°, in order of falling intensity:
Position (°2θ)  d_spacing  intensity  hkl
29.74  3.004  100  1 3 1
43.97  2.059  36  0 6 0
41.10  2.196  35  1 3 -3
32.14  2.785  21  2 0 1
25.29  3.522  20  1 3 0
53.98  1.699  19  4 0 0


(3)
The following is a calculated XRD peak list of Ce6Mg23Si. It was derived from DFT lattice parameters and positions (PBE), using Cu Kα X-rays.

Crystal structure
```
data_Ce6Mg23Si
_symmetry_space_group_name_H-M 'F m -3 m'
_symmetry_Int_Tables_number 225
_symmetry_space_group_name_Hall '-F 4 2 3'
_cell_length_a 14.4440
_cell_length_b 14.4440
_cell_length_c 14.4440
_cell_angle_alpha 90.00
_cell_angle_beta 90.00
_cell_angle_gamma 90.00
loop_
_atom_site_label
_atom_site_fract_x
_atom_site_fract_y
_atom_site_fract_z
Ce1 0.0000 0.0000 0.2024
Mg1 0.0000 0.0000 0.5000
Mg2 0.0000 0.2500 0.2500
Mg3 0.1212 0.1212 0.3788
Mg4 0.1695 0.1695 0.1695
Si1 0.0000 0.0000 0.0000
```

Top 6 peaks for 10° ≤ 2θ ≤ 90°, in order of falling intensity:
Position (°2θ)  d_spacing  intensity  hkl
32.20  2.780  100  3 3 3
35.15  2.553  66  4 4 0
21.31  4.170  46  2 2 2
30.31  2.948  33  4 2 2
10.61  8.339  31  1 1 1
24.65  3.611  31  4 0 0


(4)
The following is a calculated XRD peak list of CeSm3Mg4. It was derived from DFT lattice parameters and positions (PBE), using Cu Kα X-rays.

Crystal structure
```
data_CeSm3Mg4
_symmetry_space_group_name_H-M 'P m m m'
_symmetry_Int_Tables_number 47
_cell_length_a 3.8247
_cell_length_b 5.4498
_cell_length_c 10.9011
_cell_angle_alpha 90.00
_cell_angle_beta 90.00
_cell_angle_gamma 90.00
loop_
_symmetry_equiv_pos_as_xyz
'x,y,z'
'-x,-y,-z'
'-x,-y,z'
'x,y,-z'
'x,-y,-z'
'-x,y,z'
'-x,y,-z'
'x,-y,z'
loop_
_atom_site_label
_atom_site_fract_x
_atom_site_fract_y
_atom_site_fract_z
Ce1 0.0000 0.0000 0.0000
Sm1 0.0000 0.0000 0.5000
Sm2 0.0000 0.5000 0.2485
Mg1 0.5000 0.0000 0.2515
Mg2 0.5000 0.5000 0.0000
Mg3 0.5000 0.5000 0.5000
```

Top 6 peaks for 10° ≤ 2θ ≤ 90°, in order of falling intensity:
Position (°2θ)  d_spacing  intensity  hkl
33.00  2.715  100  1 1 2
23.08  3.854  60  0 1 2
32.87  2.725  51  0 2 0
58.76  1.571  38  1 3 2
23.26  3.825  30  1 0 0
40.65  2.219  28  1 2 0


(5)
The following is a calculated XRD peak list of Ce6Mg23Sn. It was derived from DFT lattice parameters and positions (PBE), using Cu Kα X-rays.

Crystal structure
```
data_Ce6Mg23Sn
_symmetry_space_group_name_H-M 'F m -3 m'
_symmetry_Int_Tables_number 225
_symmetry_space_group_name_Hall '-F 4 2 3'
_cell_length_a 14.5135
_cell_length_b 14.5135
_cell_length_c 14.5135
_cell_angle_alpha 90.00
_cell_angle_beta 90.00
_cell_angle_gamma 90.00
loop_
_atom_site_label
_atom_site_fract_x
_atom_site_fract_y
_atom_site_fract_z
Ce1 0.0000 0.0000 0.2179
Mg1 0.0000 0.0000 0.5000
Mg2 0.0000 0.2500 0.2500
Mg3 0.1228 0.1228 0.3772
Mg4 0.1668 0.1668 0.1668
Sn1 0.0000 0.0000 0.0000
```

Top 6 peaks for 10° ≤ 2θ ≤ 90°, in order of falling intensity:
Position (°2θ)  d_spacing  intensity  hkl
34.97  2.566  100  4 4 0
32.04  2.793  66  5 1 1
24.53  3.628  46  4 0 0
21.21  4.190  38  2 2 2
12.20  7.257  35  2 0 0
27.48  3.245  32  4 2 0


(6)
The following is a calculated XRD peak list of CeMg6Sn. It was derived from DFT lattice parameters and positions (PBE), using Cu Kα X-rays.

Crystal structure
```
data_CeMg6Sn
_symmetry_space_group_name_H-M 'A m m 2'
_symmetry_Int_Tables_number 38
_cell_length_a 5.1758
_cell_length_b 6.4022
_cell_length_c 11.9042
_cell_angle_alpha 90.00
_cell_angle_beta 90.00
_cell_angle_gamma 90.00
loop_
_symmetry_equiv_pos_as_xyz
'x,y,z'
'-x,-y,z'
'-x,y,z'
'x,-y,z'
'x,y+1/2,z+1/2'
'-x,-y+1/2,z+1/2'
'-x,y+1/2,z+1/2'
'x,-y+1/2,z+1/2'
loop_
_atom_site_label
_atom_site_fract_x
_atom_site_fract_y
_atom_site_fract_z
Ce1 0.0000 0.0000 0.0000
Mg1 0.0000 0.2492 0.7466
Mg2 0.5000 0.0000 0.1634
Mg3 0.5000 0.0000 0.6473
Mg4 0.5000 0.2462 0.8973
Sn1 0.0000 0.0000 0.4873
```

Top 6 peaks for 10° ≤ 2θ ≤ 90°, in order of falling intensity:
Position (°2θ)  d_spacing  intensity  hkl
36.29  2.476  100  1 2 2
14.88  5.952  66  0 0 2
34.77  2.580  63  1 0 4
22.77  3.906  56  1 0 2
17.13  5.176  52  1 0 0
31.74  2.820  47  0 2 2


(7)
The following is a calculated XRD peak list of Ce2ThMg2Sn2. It was derived from DFT lattice parameters and positions (PBE), using Cu Kα X-rays.

Crystal structure
```
data_Ce2ThMg2Sn2
_symmetry_space_group_name_H-M 'R -3 m'
_symmetry_Int_Tables_number 166
_symmetry_space_group_name_Hall '-R 3 2"'
_cell_length_a 4.8125
_cell_length_b 4.8125
_cell_length_c 27.8071
_cell_angle_alpha 90.00
_cell_angle_beta 90.00
_cell_angle_gamma 120.00
loop_
_atom_site_label
_atom_site_fract_x
_atom_site_fract_y
_atom_site_fract_z
Ce1 0.0000 0.0000 0.1438
Th1 0.0000 0.0000 0.0000
Mg1 0.0000 0.0000 0.4139
Sn1 0.0000 0.0000 0.2664
```

Top 6 peaks for 10° ≤ 2θ ≤ 90°, in order of falling intensity:
Position (°2θ)  d_spacing  intensity  hkl
31.10  2.876  100  1 0 7
37.37  2.406  79  1 1 0
21.56  4.122  53  1 0 1
33.57  2.669  47  0 1 8
49.39  1.845  28  0 2 7
63.53  1.464  26  2 1 7


(8)
The following is a calculated XRD peak list of Tb3CeMg4. It was derived from DFT lattice parameters and positions (PBE), using Cu Kα X-rays.

Crystal structure
```
data_Tb3CeMg4
_symmetry_space_group_name_H-M 'P m m m'
_symmetry_Int_Tables_number 47
_cell_length_a 3.7802
_cell_length_b 5.4035
_cell_length_c 10.7945
_cell_angle_alpha 90.00
_cell_angle_beta 90.00
_cell_angle_gamma 90.00
loop_
_symmetry_equiv_pos_as_xyz
'x,y,z'
'-x,-y,-z'
'-x,-y,z'
'x,y,-z'
'x,-y,-z'
'-x,y,z'
'-x,y,-z'
'x,-y,z'
loop_
_atom_site_label
_atom_site_fract_x
_atom_site_fract_y
_atom_site_fract_z
Tb1 0.0000 0.0000 0.0000
Tb2 0.0000 0.5000 0.2509
Ce1 0.0000 0.0000 0.5000
Mg1 0.5000 0.0000 0.2464
Mg2 0.5000 0.5000 0.0000
Mg3 0.5000 0.5000 0.5000
```

Top 6 peaks for 10° ≤ 2θ ≤ 90°, in order of falling intensity:
Position (°2θ)  d_spacing  intensity  hkl
33.35  2.686  100  1 1 2
23.29  3.819  62  0 1 2
33.18  2.700  51  0 2 0
59.39  1.556  38  1 3 2
23.53  3.780  30  1 0 0
41.08  2.197  29  1 2 0


(9)
The following is a calculated XRD peak list of Tb2Ce2Mg15. It was derived from DFT lattice parameters and positions (PBE), using Cu Kα X-rays.

Crystal structure
```
data_Tb2Ce2Mg15
_symmetry_space_group_name_H-M 'R -3 m'
_symmetry_Int_Tables_number 166
_symmetry_space_group_name_Hall '-R 3 2"'
_cell_length_a 10.5867
_cell_length_b 10.5867
_cell_length_c 15.1329
_cell_angle_alpha 90.00
_cell_angle_beta 90.00
_cell_angle_gamma 120.00
loop_
_atom_site_label
_atom_site_fract_x
_atom_site_fract_y
_atom_site_fract_z
Tb1 0.0000 0.0000 0.1015
Ce1 0.0000 0.0000 0.3284
Mg1 0.0000 0.2965 0.0000
Mg2 0.0000 0.5000 0.5000
Mg3 0.0094 0.5047 0.1470
```

Top 6 peaks for 10° ≤ 2θ ≤ 90°, in order of falling intensity:
Position (°2θ)  d_spacing  intensity  hkl
16.75  5.293  100  1 1 0
29.22  3.056  58  3 0 0
33.87  2.647  54  2 2 0
35.55  2.525  35  2 0 5
39.54  2.279  28  1 2 5
34.31  2.614  26  0 3 3


(10)
The following is a calculated XRD peak list of Tb2CeMg6. It was derived from DFT lattice parameters and positions (PBE), using Cu Kα X-rays.

Crystal structure
```
data_Tb2CeMg6
_symmetry_space_group_name_H-M 'P 6/m m m'
_symmetry_Int_Tables_number 191
_symmetry_space_group_name_Hall '-P 6 2'
_cell_length_a 9.1165
_cell_length_b 9.1165
_cell_length_c 3.2592
_cell_angle_alpha 90.00
_cell_angle_beta 90.00
_cell_angle_gamma 120.00
loop_
_atom_site_label
_atom_site_fract_x
_atom_site_fract_y
_atom_site_fract_z
Tb1 0.3333 0.6667 0.0000
Ce1 0.0000 0.0000 0.0000
Mg1 0.0000 0.3349 0.5000
```

Top 6 peaks for 10° ≤ 2θ ≤ 90°, in order of falling intensity:
Position (°2θ)  d_spacing  intensity  hkl
33.81  2.651  100  1 1 1
19.47  4.558  98  1 1 0
34.07  2.632  64  3 0 0
60.81  1.523  36  4 1 1
48.76  1.868  36  2 2 1
67.62  1.385  17  3 0 2


(11)
The following is a calculated XRD peak list of Tb5CeMg4. It was derived from DFT lattice parameters and positions (PBE), using Cu Kα X-rays.

Crystal structure
```
data_Tb5CeMg4
_symmetry_space_group_name_H-M 'P 4/m m m'
_symmetry_Int_Tables_number 123
_symmetry_space_group_name_Hall '-P 4 2'
_cell_length_a 3.7023
_cell_length_b 3.7023
_cell_length_c 20.4936
_cell_angle_alpha 90.00
_cell_angle_beta 90.00
_cell_angle_gamma 90.00
loop_
_atom_site_label
_atom_site_fract_x
_atom_site_fract_y
_atom_site_fract_z
Tb1 0.0000 0.0000 0.0000
Tb2 0.0000 0.0000 0.1903
Tb3 0.0000 0.0000 0.3876
Ce1 0.5000 0.5000 0.5000
Mg1 0.5000 0.5000 0.0954
Mg2 0.5000 0.5000 0.2886
```

Top 6 peaks for 10° ≤ 2θ ≤ 90°, in order of falling intensity:
Position (°2θ)  d_spacing  intensity  hkl
32.59  2.747  100  1 0 5
34.25  2.618  48  1 1 0
60.29  1.535  34  2 1 5
24.04  3.702  33  1 0 0
21.68  4.099  18  0 0 5
49.22  1.851  17  2 0 0


(12)
The following is a calculated XRD peak list of Tb4CeMg. It was derived from DFT lattice parameters and positions (PBE), using Cu Kα X-rays.

Crystal structure
```
data_Tb4CeMg
_symmetry_space_group_name_H-M 'P 4/m m m'
_symmetry_Int_Tables_number 123
_symmetry_space_group_name_Hall '-P 4 2'
_cell_length_a 3.5603
_cell_length_b 3.5603
_cell_length_c 14.3035
_cell_angle_alpha 90.00
_cell_angle_beta 90.00
_cell_angle_gamma 90.00
loop_
_atom_site_label
_atom_site_fract_x
_atom_site_fract_y
_atom_site_fract_z
Tb1 0.0000 0.0000 0.1530
Tb2 0.5000 0.5000 0.3280
Ce1 0.0000 0.0000 0.5000
Mg1 0.5000 0.5000 0.0000
```

Top 6 peaks for 10° ≤ 2θ ≤ 90°, in order of falling intensity:
Position (°2θ)  d_spacing  intensity  hkl
31.35  2.853  100  1 0 3
35.66  2.518  35  1 1 0
61.39  1.510  30  2 1 3
52.89  1.731  20  1 1 6
86.49  1.125  14  3 1 0
37.74  2.384  13  0 0 6